Record 1
# TeRhPbO5
Calculated XRD peak list, Cu Kα. Input: DFT lattice parameters and positions (PBE).
Neutral-atom scattering factors, no anomalous dispersion.

Main lines, in order of rising 2θ (10 to 80 degrees two-theta):
2θ 16.85, I 84.7; 2θ 24.73, I 50.7; 2θ 25.46, I 75.6; 2θ 26.92, I 49.8; 2θ 28.97, I 100.0; 2θ 31.20, I 56.9; 2θ 34.04, I 72.6; 2θ 41.67, I 35.1; 2θ 41.78, I 24.3; 2θ 50.81, I 39.9

Structural model:
Lattice parameters (Å, degrees): 7.6376 13.2477 6.2958 90.00 114.23 90.00
Space group C2/c (No. 15)
Inequivalent atoms, fractional coordinates:
Te 0.0000 0.0465 0.2500 (multiplicity 4)
Rh 0.0000 0.4908 0.7500 (multiplicity 4)
Pb 0.2500 0.2500 0.0000 (multiplicity 4)
O 0.0000 0.3479 0.7500 (multiplicity 4)
O 0.0015 0.1392 0.0226 (multiplicity 8)
O 0.1815 0.4952 0.5868 (multiplicity 8)

Record 2
# TlRhPb2O8
Calculated XRD peak list, Cu Kα. Input: DFT lattice parameters and positions (PBE).
Neutral-atom scattering factors, no anomalous dispersion.

Main lines, in order of rising 2θ (10 to 80 degrees two-theta):
2θ 25.57, I 100.0; 2θ 31.67, I 47.0; 2θ 31.79, I 49.7; 2θ 36.27, I 15.3; 2θ 36.70, I 17.0; 2θ 48.98, I 35.2; 2θ 49.23, I 36.8; 2θ 59.98, I 18.8; 2θ 62.38, I 10.5; 2θ 63.02, I 9.6

Structural model:
Lattice parameters (Å, degrees): 4.8984 6.8800 4.9536 90.00 90.11 90.00
Space group P2/m (No. 10)
Inequivalent atoms, fractional coordinates:
Tl 0.0000 0.0000 0.0000 (multiplicity 1)
Rh 0.0000 0.5000 0.0000 (multiplicity 1)
Pb 0.5000 0.2559 0.5000 (multiplicity 2)
O 0.1975 0.2814 0.8292 (multiplicity 4)
O 0.2702 0.5000 0.3016 (multiplicity 2)
O 0.2984 0.0000 0.3245 (multiplicity 2)

Record 3
# ZnRhPb2O6
Calculated XRD peak list, Cu Kα. Input: DFT lattice parameters and positions (PBE).
Neutral-atom scattering factors, no anomalous dispersion.

Main lines, in order of rising 2θ (10 to 80 degrees two-theta):
2θ 22.46, I 19.3; 2θ 31.56, I 100.0; 2θ 31.84, I 70.3; 2θ 32.43, I 32.0; 2θ 45.06, I 18.0; 2θ 45.85, I 26.8; 2θ 56.02, I 13.8; 2θ 56.29, I 15.7; 2θ 57.15, I 14.7; 2θ 57.65, I 16.5

Structural model:
Lattice parameters (Å, degrees): 5.5215 5.6784 9.7091 90.00 124.01 90.00
Space group P2_1/c (No. 14)
Inequivalent atoms, fractional coordinates:
Zn 0.0000 0.0000 0.0000 (multiplicity 2)
Rh 0.5000 0.0000 0.5000 (multiplicity 2)
Pb 0.2267 0.0497 0.7458 (multiplicity 4)
O 0.1529 0.1999 0.4438 (multiplicity 4)
O 0.2397 0.7154 0.4350 (multiplicity 4)
O 0.3744 0.0515 0.2622 (multiplicity 4)

Record 4
# Sc2RuPbO8
Calculated XRD peak list, Cu Kα. Input: DFT lattice parameters and positions (PBE).
Neutral-atom scattering factors, no anomalous dispersion.

Main lines, in order of rising 2θ (10 to 80 degrees two-theta):
2θ 18.41, I 77.7; 2θ 25.95, I 63.9; 2θ 26.35, I 60.6; 2θ 33.06, I 100.0; 2θ 37.32, I 24.8; 2θ 37.95, I 29.7; 2θ 42.18, I 17.0; 2θ 50.47, I 43.2; 2θ 50.92, I 40.9; 2θ 64.61, I 25.3

Structural model:
Lattice parameters (Å, degrees): 4.8171 6.5542 4.8227 90.00 90.86 90.00
Space group P2/m (No. 10)
Inequivalent atoms, fractional coordinates:
Sc 0.0000 0.2487 0.0000 (multiplicity 2)
Ru 0.5000 0.5000 0.5000 (multiplicity 1)
Pb 0.5000 0.0000 0.5000 (multiplicity 1)
O 0.1840 0.0000 0.1825 (multiplicity 2)
O 0.2207 0.5000 0.2195 (multiplicity 2)
O 0.3063 0.2813 0.6923 (multiplicity 4)

Record 5
# SnRuPbO6
Calculated XRD peak list, Cu Kα. Input: DFT lattice parameters and positions (PBE).
Neutral-atom scattering factors, no anomalous dispersion.

Main lines, in order of rising 2θ (10 to 80 degrees two-theta):
2θ 20.42, I 12.9; 2θ 26.02, I 100.0; 2θ 32.87, I 87.4; 2θ 37.13, I 25.8; 2θ 50.42, I 69.6; 2θ 53.52, I 16.3; 2θ 60.45, I 16.4; 2θ 62.54, I 17.4; 2θ 64.25, I 20.3; 2θ 76.60, I 15.4

Structural model:
Lattice parameters (Å, degrees): 4.8428 4.8428 9.8896 90.00 90.00 90.00
Space group P4_2nm (No. 102)
Inequivalent atoms, fractional coordinates:
Sn 0.0000 0.0000 0.0000 (multiplicity 2)
Ru 0.0000 0.0000 0.3348 (multiplicity 2)
Pb 0.0000 0.0000 0.6683 (multiplicity 2)
O 0.1782 0.1782 0.1737 (multiplicity 4)
O 0.1923 0.1923 0.4864 (multiplicity 4)
O 0.2079 0.2079 0.8431 (multiplicity 4)

Record 6
# Sr2RuPbO6
Calculated XRD peak list, Cu Kα. Input: DFT lattice parameters and positions (PBE).
Neutral-atom scattering factors, no anomalous dispersion.

Main lines, in order of rising 2θ (10 to 80 degrees two-theta):
2θ 16.55, I 17.1; 2θ 23.19, I 20.6; 2θ 28.08, I 88.6; 2θ 29.16, I 100.0; 2θ 31.25, I 36.2; 2θ 33.46, I 29.7; 2θ 34.72, I 25.3; 2θ 46.43, I 29.6; 2θ 47.40, I 31.2; 2θ 53.70, I 16.3

Structural model:
Lattice parameters (Å, degrees): 11.6645 5.7238 5.1748 90.00 113.29 90.00
Space group C2/m (No. 12)
Inequivalent atoms, fractional coordinates:
Sr 0.2389 0.0000 0.2090 (multiplicity 4)
Ru 0.0000 0.0000 0.5000 (multiplicity 2)
Pb 0.0000 0.5000 0.0000 (multiplicity 2)
O 0.0793 0.2311 0.7747 (multiplicity 8)
O 0.1856 0.5000 0.2765 (multiplicity 4)

Record 7
# ZnRu2PbO8
Calculated XRD peak list, Cu Kα. Input: DFT lattice parameters and positions (PBE).
Neutral-atom scattering factors, no anomalous dispersion.

Main lines, in order of rising 2θ (10 to 80 degrees two-theta):
2θ 20.48, I 10.3; 2θ 25.44, I 100.0; 2θ 35.19, I 50.7; 2θ 37.35, I 32.4; 2θ 43.93, I 23.7; 2θ 52.26, I 13.1; 2θ 57.50, I 21.1; 2θ 60.47, I 19.4; 2θ 63.16, I 12.1; 2θ 64.58, I 13.6

Structural model:
Lattice parameters (Å, degrees): 5.0991 5.0991 22.9734 90.00 90.00 120.00
Space group R32 (No. 155, hexagonal axes)
Inequivalent atoms, fractional coordinates:
Zn 0.0000 0.0000 0.0000 (multiplicity 3)
Ru 0.0000 0.0000 0.2557 (multiplicity 6)
Pb 0.0000 0.0000 0.5000 (multiplicity 3)
O 0.0000 0.0000 0.1771 (multiplicity 6)
O 0.0048 0.3236 0.0601 (multiplicity 18)

Record 8
# PbS3O9
Calculated XRD peak list, Cu Kα. Input: DFT lattice parameters and positions (PBE).
Neutral-atom scattering factors, no anomalous dispersion.

Main lines, in order of rising 2θ (10 to 80 degrees two-theta):
2θ 11.33, I 100.0; 2θ 15.04, I 55.3; 2θ 20.74, I 46.3; 2θ 23.66, I 55.8; 2θ 24.21, I 76.1; 2θ 25.71, I 32.6; 2θ 26.31, I 33.2; 2θ 29.32, I 60.9; 2θ 34.11, I 40.5; 2θ 36.53, I 28.5

Structural model:
Lattice parameters (Å, degrees): 10.4210 11.7849 7.5199 90.00 90.00 90.00
Space group C222_1 (No. 20)
Inequivalent atoms, fractional coordinates:
Pb 0.1037 0.0000 0.0000 (multiplicity 4)
S 0.0298 0.3267 0.0480 (multiplicity 8)
S 0.1965 0.0000 0.5000 (multiplicity 4)
O 0.0000 0.3874 0.2500 (multiplicity 4)
O 0.0793 0.2121 0.0818 (multiplicity 8)
O 0.0814 0.3386 0.5657 (multiplicity 8)
O 0.1060 0.0435 0.6439 (multiplicity 8)
O 0.2264 0.4084 0.9193 (multiplicity 8)

Record 9
# PbS5O
Calculated XRD peak list, Cu Kα. Input: DFT lattice parameters and positions (PBE).
Neutral-atom scattering factors, no anomalous dispersion.

Main lines, in order of rising 2θ (10 to 80 degrees two-theta):
2θ 18.71, I 22.1; 2θ 19.06, I 33.3; 2θ 22.57, I 21.0; 2θ 23.26, I 100.0; 2θ 23.44, I 37.2; 2θ 24.47, I 37.7; 2θ 27.00, I 30.6; 2θ 30.02, I 31.5; 2θ 40.35, I 19.9; 2θ 42.22, I 23.6

Structural model:
Lattice parameters (Å, degrees): 5.2126 18.9700 4.2765 90.00 112.89 90.00
Space group C2 (No. 5)
Inequivalent atoms, fractional coordinates:
Pb 0.0000 0.0000 0.0000 (multiplicity 2)
S 0.0000 0.6332 0.5000 (multiplicity 2)
S 0.1114 0.3846 0.8574 (multiplicity 4)
S 0.1531 0.7020 0.2400 (multiplicity 4)
O 0.0000 0.0161 0.5000 (multiplicity 2)

Record 10
# PbS2O3
Calculated XRD peak list, Cu Kα. Input: DFT lattice parameters and positions (PBE).
Neutral-atom scattering factors, no anomalous dispersion.

Main lines, in order of rising 2θ (10 to 80 degrees two-theta):
2θ 18.18, I 41.6; 2θ 20.48, I 86.0; 2θ 21.71, I 100.0; 2θ 24.25, I 73.7; 2θ 25.60, I 48.8; 2θ 29.96, I 58.1; 2θ 32.77, I 49.7; 2θ 35.55, I 33.4; 2θ 37.33, I 80.5; 2θ 38.91, I 36.4

Structural model:
Lattice parameters (Å, degrees): 7.1229 16.3774 7.3414 90.00 90.00 90.00
Space group Pbca (No. 61)
Inequivalent atoms, fractional coordinates:
Pb 0.1524 0.1233 0.0364 (multiplicity 8)
S 0.1715 0.1069 0.5066 (multiplicity 8)
S 0.1986 0.7087 0.3952 (multiplicity 8)
O 0.0344 0.0784 0.3676 (multiplicity 8)
O 0.0751 0.1287 0.6771 (multiplicity 8)
O 0.1744 0.5467 0.5328 (multiplicity 8)